Entry 1:
Diffraction record for Ba3SrCu4O12. The PXRD pattern is computed, not measured: it uses a GGA-PBE-relaxed structure and λ = 1.5418 Å (Cu Kα).

Atomic structure:
Cell: 8.017 8.017 4.004 Å, 90.00 90.00 90.00°
Space group P4/mmm (No. 123)
Asymmetric unit:
Ba 0.000 0.000 0.000 [1 per cell]
Ba 0.000 0.500 0.000 [2 per cell]
Sr 0.500 0.500 0.000 [1 per cell]
Cu 0.250 0.250 0.500 [4 per cell]
O 0.000 0.251 0.500 [4 per cell]
O 0.257 0.257 0.000 [4 per cell]
O 0.261 0.500 0.500 [4 per cell]

Most intense lines, 10 to 90 degrees two-theta, in order of rising 2θ:
22.18°, intensity 4, (2 0 0); 31.58°, intensity 100, (2 2 0); 38.93°, intensity 12, (2 2 1); 45.26°, intensity 34, (0 0 2); 50.96°, intensity 2, (4 0 1); 56.23°, intensity 39, (4 2 1); 65.93°, intensity 20, (4 0 2); 74.95°, intensity 17, (6 2 0); 79.30°, intensity 4, (2 2 3); 83.59°, intensity 7, (4 4 2)

---

Entry 2:
Diffraction record for NaHCO3. The PXRD pattern is computed, not measured: it uses a GGA-PBE-relaxed structure and λ = 1.5418 Å (Cu Kα).

Atomic structure:
Cell: 3.574 8.256 9.065 Å, 90.00 96.55 90.00°
Space group P2_1/c (No. 14)
Asymmetric unit:
Na 0.003 0.123 0.218 [4 per cell]
H 0.452 0.630 0.588 [4 per cell]
C 0.404 0.586 0.992 [4 per cell]
O 0.199 0.617 0.873 [4 per cell]
O 0.469 0.507 0.579 [4 per cell]
O 0.472 0.680 0.103 [4 per cell]

Most intense lines, 10 to 90 degrees two-theta, in order of rising 2θ:
23.71°, intensity 35, (0 2 1); 27.34°, intensity 25, (1 1 0); 30.23°, intensity 100, (1 0 -2); 32.16°, intensity 46, (1 1 -2); 33.89°, intensity 28, (1 0 2); 34.07°, intensity 42, (0 3 1); 35.63°, intensity 58, (1 2 1); 37.03°, intensity 20, (0 2 3); 42.05°, intensity 22, (1 3 -1); 47.27°, intensity 24, (1 2 3)

---

Entry 3:
Diffraction record for FePbW2. The PXRD pattern is computed, not measured: it uses a GGA-PBE-relaxed structure and λ = 1.5418 Å (Cu Kα).

Atomic structure:
Cell: 6.415 6.415 6.415 Å, 90.00 90.00 90.00°
Space group F-43m (No. 216)
Asymmetric unit:
Fe 0.000 0.000 0.000 [4 per cell]
Pb 0.250 0.250 0.250 [4 per cell]
W 0.000 0.000 0.500 [4 per cell]
W 0.250 0.250 0.750 [4 per cell]

Most intense lines, 10 to 90 degrees two-theta, in order of rising 2θ:
24.03°, intensity 9, (1 1 1); 27.81°, intensity 7, (2 0 0); 39.74°, intensity 100, (2 2 0); 46.98°, intensity 5, (3 1 1); 49.20°, intensity 2, (2 2 2); 57.46°, intensity 17, (4 0 0); 63.18°, intensity 2, (3 3 1); 65.02°, intensity 3, (4 2 0); 72.13°, intensity 35, (4 2 2); 85.66°, intensity 11, (4 4 0)

---

Entry 4:
Diffraction record for Nd3IrO7. The PXRD pattern is computed, not measured: it uses a GGA-PBE-relaxed structure and λ = 1.5418 Å (Cu Kα).

Atomic structure:
Cell: 10.973 7.528 7.601 Å, 90.00 90.00 90.00°
Space group Cmcm (No. 63)
Asymmetric unit:
Nd 0.000 0.000 0.000 [4 per cell]
Nd 0.222 0.302 0.250 [8 per cell]
Ir 0.000 0.500 0.000 [4 per cell]
O 0.000 0.411 0.250 [4 per cell]
O 0.126 0.314 0.538 [16 per cell]
O 0.132 0.024 0.250 [8 per cell]

Most intense lines, 10 to 90 degrees two-theta, in order of rising 2θ:
26.42°, intensity 10, (0 2 1); 28.57°, intensity 100, (2 0 2); 28.76°, intensity 87, (2 2 0); 31.13°, intensity 10, (2 2 1); 32.64°, intensity 23, (4 0 0); 33.51°, intensity 44, (0 2 2); 47.48°, intensity 46, (4 2 2); 47.87°, intensity 17, (0 0 4); 56.81°, intensity 29, (2 2 4); 57.13°, intensity 15, (2 4 2)

---

Entry 5:
Diffraction record for ErB4Ir2Rh2. The PXRD pattern is computed, not measured: it uses a GGA-PBE-relaxed structure and λ = 1.5418 Å (Cu Kα).

Atomic structure:
Cell: 5.374 5.374 7.451 Å, 90.00 90.00 90.00°
Space group P4_2mc (No. 105)
Asymmetric unit:
Er 0.000 0.500 0.000 [2 per cell]
B 0.000 0.170 0.350 [4 per cell]
B 0.329 0.500 0.656 [4 per cell]
Ir 0.248 0.500 0.357 [4 per cell]
Rh 0.000 0.251 0.646 [4 per cell]

Most intense lines, 10 to 90 degrees two-theta, in order of rising 2θ:
29.17°, intensity 55, (1 0 2); 35.52°, intensity 100, (2 0 1); 39.40°, intensity 94, (2 1 1); 39.99°, intensity 69, (1 0 3); 44.88°, intensity 42, (2 1 2); 47.88°, intensity 20, (2 2 0); 63.67°, intensity 22, (3 2 1); 70.85°, intensity 32, (2 2 4); 72.54°, intensity 19, (2 0 5); 81.06°, intensity 20, (4 2 1)

---

Entry 6:
Diffraction record for Ag3AuS2. The PXRD pattern is computed, not measured: it uses a GGA-PBE-relaxed structure and λ = 1.5418 Å (Cu Kα).

Atomic structure:
Cell: 4.737 4.872 5.845 Å, 88.53 84.99 80.96°
Space group P1 (No. 1)
Asymmetric unit:
Ag 0.000 0.000 0.000 [1 per cell]
Ag 0.195 0.739 0.559 [1 per cell]
Ag 0.621 0.441 0.225 [1 per cell]
Au 0.486 0.190 0.697 [1 per cell]
S 0.199 0.467 0.980 [1 per cell]
S 0.726 0.897 0.403 [1 per cell]

Most intense lines, 10 to 90 degrees two-theta, in order of rising 2θ:
23.42°, intensity 100, (1 0 1); 24.14°, intensity 59, (0 1 -1); 24.43°, intensity 89, (1 1 0); 27.90°, intensity 55, (1 1 1); 29.89°, intensity 48, (1 1 -1); 31.92°, intensity 55, (1 -1 1); 37.79°, intensity 92, (1 0 -2); 40.40°, intensity 92, (0 2 1); 41.96°, intensity 56, (2 1 1); 43.25°, intensity 57, (1 2 -1)

---

Entry 7:
Diffraction record for Ti2AlCr. The PXRD pattern is computed, not measured: it uses a GGA-PBE-relaxed structure and λ = 1.5418 Å (Cu Kα).

Atomic structure:
Cell: 6.301 6.301 6.301 Å, 90.00 90.00 90.00°
Space group F-43m (No. 216)
Asymmetric unit:
Ti 0.000 0.000 0.000 [4 per cell]
Ti 0.250 0.250 0.250 [4 per cell]
Al 0.000 0.000 0.500 [4 per cell]
Cr 0.250 0.250 0.750 [4 per cell]

Most intense lines, 10 to 90 degrees two-theta, in order of rising 2θ:
24.47°, intensity 4, (1 1 1); 28.33°, intensity 3, (2 0 0); 40.49°, intensity 100, (2 2 0); 47.88°, intensity 2, (3 1 1); 50.15°, intensity 1, (2 2 2); 58.60°, intensity 15, (4 0 0); 64.46°, intensity 1, (3 3 1); 66.35°, intensity 1, (4 2 0); 73.65°, intensity 29, (4 2 2); 87.60°, intensity 9, (4 4 0)

---

Entry 8:
Diffraction record for Rb3ErF6. The PXRD pattern is computed, not measured: it uses a GGA-PBE-relaxed structure and λ = 1.5418 Å (Cu Kα).

Atomic structure:
Cell: 9.661 9.661 9.661 Å, 90.00 90.00 90.00°
Space group Fm-3m (No. 225)
Asymmetric unit:
Rb 0.000 0.000 0.000 [4 per cell]
Rb 0.250 0.250 0.250 [8 per cell]
Er 0.000 0.000 0.500 [4 per cell]
F 0.000 0.000 0.276 [24 per cell]

Most intense lines, 10 to 90 degrees two-theta, in order of rising 2θ:
15.89°, intensity 13, (1 1 1); 18.37°, intensity 11, (2 0 0); 26.09°, intensity 100, (2 2 0); 37.23°, intensity 37, (4 0 0); 46.03°, intensity 42, (4 2 2); 53.67°, intensity 24, (4 4 0); 60.62°, intensity 20, (6 2 0); 67.13°, intensity 8, (4 4 4); 73.33°, intensity 23, (6 4 2); 85.24°, intensity 11, (6 6 0)

---

Entry 9:
Diffraction record for RbTlF3. The PXRD pattern is computed, not measured: it uses a GGA-PBE-relaxed structure and λ = 1.5418 Å (Cu Kα).

Atomic structure:
Cell: 6.644 13.384 9.294 Å, 90.00 90.00 90.00°
Space group Pbam (No. 55)
Asymmetric unit:
Rb 0.222 0.131 0.000 [4 per cell]
Rb 0.245 0.118 0.500 [4 per cell]
Tl 0.243 0.375 0.250 [8 per cell]
F 0.000 0.000 0.290 [4 per cell]
F 0.000 0.500 0.306 [4 per cell]
F 0.023 0.742 0.201 [8 per cell]
F 0.245 0.833 0.500 [4 per cell]
F 0.246 0.916 0.000 [4 per cell]

Most intense lines, 10 to 90 degrees two-theta, in order of rising 2θ:
18.82°, intensity 28, (1 2 0); 26.64°, intensity 23, (0 4 0); 26.84°, intensity 24, (2 0 0); 26.94°, intensity 100, (1 2 2); 38.17°, intensity 30, (2 4 0); 38.76°, intensity 14, (0 0 4); 47.22°, intensity 25, (1 6 2); 47.46°, intensity 21, (3 2 2); 55.53°, intensity 17, (2 4 4); 62.38°, intensity 14, (3 6 2)